Diffraction record for CeHo2Te4. The X-ray powder pattern is calculated, not measured: it uses DFT lattice parameters and positions (GGA-PBE) and λ = 1.5418 Å (Cu Kα).
Kinematic intensities with the Lorentz-polarization factor, no thermal factor.

Most intense lines, 10 to 80 degrees two-theta, in order of rising 2θ:
2θ/deg, d_spacing, Rel. int.
21.8, 4.086, 52
26.9, 3.310, 67
28.5, 3.131, 95
30.4, 2.943, 100
37.1, 2.422, 61
39.7, 2.272, 32
41.8, 2.162, 42
42.0, 2.150, 79
60.8, 1.524, 30
71.9, 1.313, 32

Cell: 7.4677 7.4677 14.9373 Å, 90.00 90.00 146.34°
Sites, in units of the cell vectors:
Ce 0.1213 0.8787 0.7500
Ce 0.8787 0.1213 0.2500
Ho 0.3679 0.6321 0.5658
Ho 0.3679 0.6321 0.9342
Ho 0.6321 0.3679 0.0658
Ho 0.6321 0.3679 0.4342
Te 0.0000 0.0000 0.0000
Te 0.0000 0.0000 0.5000
Te 0.2740 0.7260 0.1207
Te 0.2740 0.7260 0.3793
Te 0.4553 0.5447 0.7500
Te 0.5447 0.4553 0.2500
Te 0.7260 0.2740 0.6207
Te 0.7260 0.2740 0.8793